1.
For BaAuO3, a cell relaxed with PBE gives the computed powder diffraction line list in this record (a wavelength of 1.5418 Å).
Kinematic intensities with the Lorentz-polarization factor, no thermal factor.

Most intense lines, 15° ≤ 2θ ≤ 90°, low angle first:
2θ = 21.09°, 4.212 Å, intensity 8
2θ = 30.01°, 2.978 Å, intensity 100
2θ = 42.95°, 2.106 Å, intensity 28
2θ = 48.32°, 1.884 Å, intensity 4
2θ = 53.28°, 1.719 Å, intensity 41
2θ = 62.36°, 1.489 Å, intensity 18
2θ = 66.61°, 1.404 Å, intensity 2
2θ = 70.74°, 1.332 Å, intensity 18
2θ = 78.70°, 1.216 Å, intensity 6
2θ = 86.45°, 1.126 Å, intensity 22

Cell and atoms:
```
BaAuO3
1.0
4.2117 0.0000 0.0000
0.0000 4.2117 0.0000
0.0000 0.0000 4.2117
Ba Au O
1 1 3
direct
0.0000 0.0000 0.0000
0.5000 0.5000 0.5000
0.0000 0.5000 0.5000
0.5000 0.0000 0.5000
0.5000 0.5000 0.0000
```

***

2.
For Ti4CdCu3O12, a cell relaxed with PBE gives the computed powder diffraction line list in this record (a wavelength of 1.5418 Å).
Kinematic intensities with the Lorentz-polarization factor, no thermal factor.

Most intense lines, 15° ≤ 2θ ≤ 90°, low angle first:
2θ = 16.81°, 5.273 Å, intensity 5
2θ = 23.86°, 3.729 Å, intensity 6
2θ = 34.00°, 2.637 Å, intensity 100
2θ = 38.16°, 2.358 Å, intensity 8
2θ = 41.97°, 2.153 Å, intensity 9
2θ = 45.51°, 1.993 Å, intensity 7
2θ = 48.85°, 1.864 Å, intensity 27
2θ = 60.85°, 1.522 Å, intensity 48
2θ = 71.57°, 1.318 Å, intensity 12
2θ = 81.65°, 1.179 Å, intensity 16

Cell and atoms:
```
Ti4CdCu3O12
1.0
-3.7289 3.7289 3.7289
3.7289 -3.7289 3.7289
3.7289 3.7289 -3.7289
Ti Cd Cu O
4 1 3 12
direct
0.0000 0.0000 0.5000
0.0000 0.5000 0.0000
0.5000 0.0000 0.0000
0.5000 0.5000 0.5000
0.0000 0.0000 0.0000
0.0000 0.5000 0.5000
0.5000 0.0000 0.5000
0.5000 0.5000 0.0000
0.1268 0.8221 0.3047
0.1779 0.3047 0.4826
0.1779 0.6953 0.8732
0.3047 0.1268 0.8221
0.3047 0.4826 0.1779
0.4826 0.1779 0.3047
0.5174 0.8221 0.6953
0.6953 0.5174 0.8221
0.6953 0.8732 0.1779
0.8221 0.3047 0.1268
0.8221 0.6953 0.5174
0.8732 0.1779 0.6953
```

***

3.
For InAgTe2, a cell relaxed with PBE gives the computed powder diffraction line list in this record (a wavelength of 1.5418 Å).
Kinematic intensities with the Lorentz-polarization factor, no thermal factor.

Most intense lines, 15° ≤ 2θ ≤ 90°, low angle first:
2θ = 22.92°, 3.880 Å, intensity 100
2θ = 24.32°, 3.659 Å, intensity 34
2θ = 37.56°, 2.395 Å, intensity 64
2θ = 39.37°, 2.289 Å, intensity 41
2θ = 44.45°, 2.038 Å, intensity 17
2θ = 45.25°, 2.004 Å, intensity 38
2θ = 55.54°, 1.655 Å, intensity 15
2θ = 59.56°, 1.552 Å, intensity 14
2θ = 67.78°, 1.383 Å, intensity 12
2θ = 68.98°, 1.361 Å, intensity 15

Cell and atoms:
```
InAgTe2
1.0
4.7898 0.0000 0.0000
-2.3949 4.1481 0.0000
0.0000 0.0000 43.9097
In Ag Te
6 6 12
direct
0.0000 0.0000 0.0000
0.0000 0.0000 0.2551
0.3333 0.6667 0.0846
0.3333 0.6667 0.3474
0.6667 0.3333 0.1686
0.6667 0.3333 0.9130
0.0000 0.0000 0.5040
0.0000 0.0000 0.7506
0.3333 0.6667 0.5864
0.3333 0.6667 0.8254
0.6667 0.3333 0.4228
0.6667 0.3333 0.6687
0.0000 0.0000 0.0671
0.0000 0.0000 0.3220
0.0000 0.0000 0.5687
0.0000 0.0000 0.8143
0.3333 0.6667 0.1519
0.3333 0.6667 0.4099
0.3333 0.6667 0.6506
0.3333 0.6667 0.8912
0.6667 0.3333 0.2360
0.6667 0.3333 0.4875
0.6667 0.3333 0.7328
0.6667 0.3333 0.9805
```